# Cu3Mo
Calculated powder X-ray diffraction pattern, Cu Kα (weighted mean of Kα1 and Kα2). Input: a crystal structure in Alexandria, relaxed with GGA-PBE.
Intensities are scaled so that the largest is 100.

Crystal structure
```
data_Cu3Mo
_cell_length_a 2.6079
_cell_length_b 2.6079
_cell_length_c 7.6288
_cell_angle_alpha 90.00
_cell_angle_beta 90.00
_cell_angle_gamma 90.00
_space_group_name_H-M_alt 'P 4/m m m'
_space_group_IT_number 123
_space_group_name_Hall '-P 4 2'
loop_
_atom_site_label
_atom_site_type_symbol
_atom_site_fract_x
_atom_site_fract_y
_atom_site_fract_z
_atom_site_occupancy
Cu1 Cu 0.0000 0.0000 0.0000 1
Cu2 Cu 0.5000 0.5000 0.2336 1
Mo1 Mo 0.0000 0.0000 0.5000 1
```

The 10 most intense peaks (10° ≤ 2θ ≤ 90°), by angle:
hkl 0 0 3, d 2.543, 2θ 35.30, intensity 2; hkl 1 0 1, d 2.468, 2θ 36.41, intensity 3; hkl 1 0 2, d 2.153, 2θ 41.97, intensity 100; hkl 0 0 4, d 1.907, 2θ 47.68, intensity 16; hkl 1 1 0, d 1.844, 2θ 49.42, intensity 31; hkl 1 1 4, d 1.326, 2θ 71.11, intensity 18; hkl 1 0 5, d 1.317, 2θ 71.66, intensity 2; hkl 2 0 0, d 1.304, 2θ 72.49, intensity 9; hkl 1 0 6, d 1.143, 2θ 84.84, intensity 10; hkl 2 1 2, d 1.115, 2θ 87.45, intensity 22

---

# Cu2Mo3N
Calculated powder X-ray diffraction pattern, Cu Kα (weighted mean of Kα1 and Kα2). Input: a crystal structure in Alexandria, relaxed with GGA-PBE.
Intensities are scaled so that the largest is 100.

Crystal structure
```
data_Cu2Mo3N
_cell_length_a 6.7304
_cell_length_b 6.7304
_cell_length_c 6.7304
_cell_angle_alpha 90.00
_cell_angle_beta 90.00
_cell_angle_gamma 90.00
_space_group_name_H-M_alt 'P 41 3 2'
_space_group_IT_number 213
_space_group_name_Hall 'P 4bd 2ab 3'
loop_
_atom_site_label
_atom_site_type_symbol
_atom_site_fract_x
_atom_site_fract_y
_atom_site_fract_z
_atom_site_occupancy
Cu1 Cu 0.0690 0.0690 0.0690 1
Mo1 Mo 0.0446 0.8750 0.7054 1
N1 N 0.1250 0.6250 0.8750 1
```

The 10 most intense peaks (10° ≤ 2θ ≤ 90°), by angle:
hkl 2 2 1, d 2.243, 2θ 40.20, intensity 100; hkl 3 1 0, d 2.128, 2θ 42.47, intensity 56; hkl 3 1 1, d 2.029, 2θ 44.65, intensity 22; hkl 3 2 1, d 1.799, 2θ 50.75, intensity 7; hkl 4 1 1, d 1.586, 2θ 58.15, intensity 7; hkl 4 2 0, d 1.505, 2θ 61.63, intensity 8; hkl 4 3 1, d 1.320, 2θ 71.47, intensity 23; hkl 5 2 0, d 1.250, 2θ 76.17, intensity 21; hkl 5 3 1, d 1.138, 2θ 85.32, intensity 7; hkl 4 4 2, d 1.122, 2θ 86.83, intensity 7

---

# Pa2CuMoN6
Calculated powder X-ray diffraction pattern, Cu Kα (weighted mean of Kα1 and Kα2). Input: a crystal structure in Alexandria, relaxed with GGA-PBE.
Intensities are scaled so that the largest is 100.

Crystal structure
```
data_Pa2CuMoN6
_cell_length_a 5.2392
_cell_length_b 5.2392
_cell_length_c 4.8878
_cell_angle_alpha 90.00
_cell_angle_beta 90.00
_cell_angle_gamma 90.00
_space_group_name_H-M_alt 'P 4 m m'
_space_group_IT_number 99
_space_group_name_Hall 'P 4 -2'
loop_
_atom_site_label
_atom_site_type_symbol
_atom_site_fract_x
_atom_site_fract_y
_atom_site_fract_z
_atom_site_occupancy
Pa1 Pa 0.0000 0.5000 0.0000 1
Cu1 Cu 0.0000 0.0000 0.5807 1
Mo1 Mo 0.5000 0.5000 0.5867 1
N1 N 0.0000 0.0000 0.1752 1
N2 N 0.2553 0.2553 0.7401 1
N3 N 0.5000 0.5000 0.2058 1
```

The 10 most intense peaks (10° ≤ 2θ ≤ 90°), by angle:
hkl 0 0 1, d 4.888, 2θ 18.15, intensity 27; hkl 1 1 0, d 3.705, 2θ 24.02, intensity 16; hkl 1 1 1, d 2.952, 2θ 30.27, intensity 100; hkl 2 0 0, d 2.620, 2θ 34.23, intensity 37; hkl 0 0 2, d 2.444, 2θ 36.78, intensity 10; hkl 2 0 1, d 2.309, 2θ 39.01, intensity 15; hkl 1 1 2, d 2.040, 2θ 44.41, intensity 18; hkl 2 2 0, d 1.852, 2θ 49.19, intensity 18; hkl 2 0 2, d 1.787, 2θ 51.11, intensity 23; hkl 3 1 1, d 1.569, 2θ 58.85, intensity 31

---

# NaCuTcMo2
Calculated powder X-ray diffraction pattern, Cu Kα (weighted mean of Kα1 and Kα2). Input: a crystal structure in Alexandria, relaxed with GGA-PBE.
Intensities are scaled so that the largest is 100.

Crystal structure
```
data_NaCuTcMo2
_cell_length_a 4.6777
_cell_length_b 4.6777
_cell_length_c 5.2439
_cell_angle_alpha 90.00
_cell_angle_beta 90.00
_cell_angle_gamma 90.00
_space_group_name_H-M_alt 'P 4/m m m'
_space_group_IT_number 123
_space_group_name_Hall '-P 4 2'
loop_
_atom_site_label
_atom_site_type_symbol
_atom_site_fract_x
_atom_site_fract_y
_atom_site_fract_z
_atom_site_occupancy
Na1 Na 0.0000 0.0000 0.0000 1
Cu1 Cu 0.5000 0.5000 0.0000 1
Tc1 Tc 0.0000 0.0000 0.5000 1
Mo1 Mo 0.0000 0.5000 0.5000 1
```

The 10 most intense peaks (10° ≤ 2θ ≤ 90°), by angle:
hkl 0 0 1, d 5.244, 2θ 16.91, intensity 100; hkl 1 0 1, d 3.491, 2θ 25.52, intensity 76; hkl 1 1 1, d 2.798, 2θ 31.99, intensity 71; hkl 0 0 2, d 2.622, 2θ 34.20, intensity 63; hkl 2 0 0, d 2.339, 2θ 38.49, intensity 90; hkl 2 0 1, d 2.136, 2θ 42.31, intensity 37; hkl 2 1 1, d 1.943, 2θ 46.75, intensity 28; hkl 2 0 2, d 1.746, 2θ 52.42, intensity 76; hkl 2 2 0, d 1.654, 2θ 55.57, intensity 30; hkl 2 2 2, d 1.399, 2θ 66.87, intensity 43

---

Please write out number 2 again, unchanged.
# Cu2Mo3N
Calculated powder X-ray diffraction pattern, Cu Kα (weighted mean of Kα1 and Kα2). Input: a crystal structure in Alexandria, relaxed with GGA-PBE.
Intensities are scaled so that the largest is 100.

Crystal structure
```
data_Cu2Mo3N
_cell_length_a 6.7304
_cell_length_b 6.7304
_cell_length_c 6.7304
_cell_angle_alpha 90.00
_cell_angle_beta 90.00
_cell_angle_gamma 90.00
_space_group_name_H-M_alt 'P 41 3 2'
_space_group_IT_number 213
_space_group_name_Hall 'P 4bd 2ab 3'
loop_
_atom_site_label
_atom_site_type_symbol
_atom_site_fract_x
_atom_site_fract_y
_atom_site_fract_z
_atom_site_occupancy
Cu1 Cu 0.0690 0.0690 0.0690 1
Mo1 Mo 0.0446 0.8750 0.7054 1
N1 N 0.1250 0.6250 0.8750 1
```

The 10 most intense peaks (10° ≤ 2θ ≤ 90°), by angle:
hkl 2 2 1, d 2.243, 2θ 40.20, intensity 100; hkl 3 1 0, d 2.128, 2θ 42.47, intensity 56; hkl 3 1 1, d 2.029, 2θ 44.65, intensity 22; hkl 3 2 1, d 1.799, 2θ 50.75, intensity 7; hkl 4 1 1, d 1.586, 2θ 58.15, intensity 7; hkl 4 2 0, d 1.505, 2θ 61.63, intensity 8; hkl 4 3 1, d 1.320, 2θ 71.47, intensity 23; hkl 5 2 0, d 1.250, 2θ 76.17, intensity 21; hkl 5 3 1, d 1.138, 2θ 85.32, intensity 7; hkl 4 4 2, d 1.122, 2θ 86.83, intensity 7

---

What did the first record say?
# Cu3Mo
Calculated powder X-ray diffraction pattern, Cu Kα (weighted mean of Kα1 and Kα2). Input: a crystal structure in Alexandria, relaxed with GGA-PBE.
Intensities are scaled so that the largest is 100.

Crystal structure
```
data_Cu3Mo
_cell_length_a 2.6079
_cell_length_b 2.6079
_cell_length_c 7.6288
_cell_angle_alpha 90.00
_cell_angle_beta 90.00
_cell_angle_gamma 90.00
_space_group_name_H-M_alt 'P 4/m m m'
_space_group_IT_number 123
_space_group_name_Hall '-P 4 2'
loop_
_atom_site_label
_atom_site_type_symbol
_atom_site_fract_x
_atom_site_fract_y
_atom_site_fract_z
_atom_site_occupancy
Cu1 Cu 0.0000 0.0000 0.0000 1
Cu2 Cu 0.5000 0.5000 0.2336 1
Mo1 Mo 0.0000 0.0000 0.5000 1
```

The 10 most intense peaks (10° ≤ 2θ ≤ 90°), by angle:
hkl 0 0 3, d 2.543, 2θ 35.30, intensity 2; hkl 1 0 1, d 2.468, 2θ 36.41, intensity 3; hkl 1 0 2, d 2.153, 2θ 41.97, intensity 100; hkl 0 0 4, d 1.907, 2θ 47.68, intensity 16; hkl 1 1 0, d 1.844, 2θ 49.42, intensity 31; hkl 1 1 4, d 1.326, 2θ 71.11, intensity 18; hkl 1 0 5, d 1.317, 2θ 71.66, intensity 2; hkl 2 0 0, d 1.304, 2θ 72.49, intensity 9; hkl 1 0 6, d 1.143, 2θ 84.84, intensity 10; hkl 2 1 2, d 1.115, 2θ 87.45, intensity 22